Calculated powder X-ray diffraction pattern of NaAlAs2O7 for Cu Ka, from DFT lattice parameters and positions (GGA-PBE).
No peak broadening, texture or thermal motion is included.

Structural model:
Unit cell a=7.0335 b=8.2836 c=9.7002 alpha=90.00 beta=107.73 gamma=90.00
Sites, in units of the cell vectors:
Na1 0.1937 0.1387 0.0288
Na2 0.1937 0.3613 0.5288
Na3 0.8063 0.6387 0.4712
Na4 0.8063 0.8613 0.9712
Al1 0.2795 0.7246 0.9940
Al2 0.2795 0.7754 0.4940
Al3 0.7205 0.2246 0.5060
Al4 0.7205 0.2754 0.0060
As1 0.0575 0.5368 0.2017
As2 0.0575 0.9632 0.7017
As3 0.4860 0.0876 0.7080
As4 0.4860 0.4124 0.2080
As5 0.5140 0.5876 0.7920
As6 0.5140 0.9124 0.2920
As7 0.9425 0.0368 0.2983
As8 0.9425 0.4632 0.7983
O1 0.0728 0.6843 0.0829
O2 0.0728 0.8157 0.5829
O3 0.0987 0.6064 0.3745
O4 0.0987 0.8936 0.8745
O5 0.1664 0.5585 0.8534
O6 0.1664 0.9415 0.3534
O7 0.2323 0.1256 0.7128
O8 0.2323 0.3744 0.2128
O9 0.3737 0.5918 0.6151
O10 0.3737 0.9082 0.1151
O11 0.4678 0.5982 0.1346
O12 0.4678 0.9018 0.6346
O13 0.4790 0.7435 0.8975
O14 0.4790 0.7565 0.3975
O15 0.5210 0.2435 0.6025
O16 0.5210 0.2565 0.1025
O17 0.5322 0.0982 0.3654
O18 0.5322 0.4018 0.8654
O19 0.6263 0.0918 0.8849
O20 0.6263 0.4082 0.3849
O21 0.7677 0.6256 0.7872
O22 0.7677 0.8744 0.2872
O23 0.8336 0.0585 0.6466
O24 0.8336 0.4415 0.1466
O25 0.9013 0.1064 0.1255
O26 0.9013 0.3936 0.6255
O27 0.9272 0.1843 0.4171
O28 0.9272 0.3157 0.9171

Peak list (6 most intense, 10 to 90 degrees two-theta, by angle)
| h k l | two_theta | d [Å] | I/Imax |
| --- | --- | --- | --- |
| 0 0 2 | 19.21 | 4.620 | 58 |
| 2 1 -1 | 27.60 | 3.232 | 49 |
| 2 0 -2 | 27.73 | 3.217 | 61 |
| 1 2 1 | 28.52 | 3.129 | 100 |
| 0 2 2 | 28.95 | 3.084 | 97 |
| 0 1 3 | 30.98 | 2.887 | 83 |